Theoretical X-ray powder pattern
Compound: GaBr3
Radiation: Cu Ka
Structure: a structure optimized by DFT (PBE)

```
GaBr3
1.0
9.5187 0.0000 0.0000
0.0000 6.2369 0.0000
-3.7170 0.0000 11.2025
Ga Br
4 12
direct
0.1907 0.0037 0.0462
0.1907 0.4963 0.5462
0.8093 0.5037 0.4538
0.8093 0.9963 0.9538
0.0002 0.2047 0.1085
0.0002 0.2953 0.6085
0.9998 0.7047 0.3915
0.9998 0.7953 0.8915
0.3093 0.2309 0.9540
0.3093 0.2691 0.4540
0.3193 0.7179 0.6982
0.3193 0.7821 0.1982
0.6807 0.2179 0.8018
0.6807 0.2821 0.3018
0.6907 0.7309 0.5460
0.6907 0.7691 0.0460
```

Main lines, sorted by position (2θ = 10–90°):
Position (°2θ)	Rel. int.	hkl
15.80	18.8	1 0 -2
16.27	27.6	0 1 1
25.51	100.0	1 1 2
41.69	18.4	3 2 0
42.16	19.2	1 2 -4
48.84	11.4	2 3 -2